Simulated XRD peak list of Fe4Te3Se for a wavelength of 1.5418 Å, from a structure optimized by DFT (PBE).
No peak broadening, texture or thermal motion is included.

Largest 12 diffraction maxima, sorted by position, 2θ from 15° to 90°:
hkl 1 0 2, 3.172 Å, rel. 100; hkl 1 2 0, 2.579 Å, rel. 7; hkl 1 2 2, 2.393 Å, rel. 24; hkl 0 0 6, 2.141 Å, rel. 9; hkl 1 2 4, 2.011 Å, rel. 59; hkl 0 2 6, 1.846 Å, rel. 16; hkl 0 4 0, 1.826 Å, rel. 12; hkl 2 0 0, 1.821 Å, rel. 12; hkl 1 4 2, 1.582 Å, rel. 14; hkl 2 2 2, 1.580 Å, rel. 13; hkl 2 2 6, 1.297 Å, rel. 10; hkl 2 4 0, 1.290 Å, rel. 7

Crystal structure
```
data_Fe4Te3Se
_chemical_formula_sum 'Fe8 Te6 Se2'
_symmetry_space_group_name_H-M 'A m m 2'
_symmetry_Int_Tables_number 38
_symmetry_space_group_name_Hall 'A 2 -2'
_cell_length_a 3.642
_cell_length_b 7.305
_cell_length_c 12.845
_cell_angle_alpha 90.00
_cell_angle_beta 90.00
_cell_angle_gamma 90.00
loop_
_atom_site_label
_atom_site_type_symbol
_atom_site_fract_x
_atom_site_fract_y
_atom_site_fract_z
Fe1 Fe 0.000 0.000 0.000
Fe2 Fe 0.000 0.000 0.498
Fe3 Fe 0.500 0.246 0.999
Te1 Te 0.000 0.249 0.857
Te2 Te 0.500 0.000 0.639
Se1 Se 0.500 0.000 0.124
```

=====

Simulated XRD peak list of CsK2Rb for a wavelength of 1.5418 Å, from a structure optimized by DFT (PBE).
No peak broadening, texture or thermal motion is included.

Largest 12 diffraction maxima, sorted by position, 2θ from 15° to 90°:
hkl 2 0 0, 5.588 Å, rel. 21; hkl 2 2 0, 3.951 Å, rel. 100; hkl 2 2 2, 3.226 Å, rel. 8; hkl 4 0 0, 2.794 Å, rel. 20; hkl 4 2 0, 2.499 Å, rel. 12; hkl 4 2 2, 2.281 Å, rel. 44; hkl 4 4 0, 1.976 Å, rel. 14; hkl 6 0 0, 1.863 Å, rel. 6; hkl 6 2 0, 1.767 Å, rel. 19; hkl 6 4 2, 1.493 Å, rel. 22; hkl 8 2 2, 1.317 Å, rel. 11; hkl 10 2 0, 1.096 Å, rel. 12

Crystal structure
```
data_CsK2Rb
_chemical_formula_sum 'Cs4 K8 Rb4'
_symmetry_space_group_name_H-M 'F m -3 m'
_symmetry_Int_Tables_number 225
_symmetry_space_group_name_Hall '-F 4 2 3'
_cell_length_a 11.176
_cell_length_b 11.176
_cell_length_c 11.176
_cell_angle_alpha 90.00
_cell_angle_beta 90.00
_cell_angle_gamma 90.00
loop_
_atom_site_label
_atom_site_type_symbol
_atom_site_fract_x
_atom_site_fract_y
_atom_site_fract_z
Cs1 Cs 0.000 0.000 0.000
K1 K 0.250 0.250 0.250
Rb1 Rb 0.000 0.000 0.500
```

=====

Simulated XRD peak list of CeSe2 for a wavelength of 1.5418 Å, from a structure optimized by DFT (PBE).
No peak broadening, texture or thermal motion is included.

Largest 12 diffraction maxima, sorted by position, 2θ from 15° to 90°:
hkl 1 1 1, 4.963 Å, rel. 35; hkl 1 3 1, 4.419 Å, rel. 50; hkl 3 3 1, 3.363 Å, rel. 22; hkl 4 4 0, 3.233 Å, rel. 29; hkl 2 8 0, 3.109 Å, rel. 38; hkl 4 6 0, 2.861 Å, rel. 30; hkl 3 7 1, 2.659 Å, rel. 51; hkl 0 2 2, 2.637 Å, rel. 40; hkl 2 2 2, 2.480 Å, rel. 47; hkl 6 2 0, 2.405 Å, rel. 22; hkl 3 9 1, 2.331 Å, rel. 100; hkl 7 3 1, 1.908 Å, rel. 21

Crystal structure
```
data_CeSe2
_chemical_formula_sum 'Ce24 Se48'
_symmetry_space_group_name_H-M 'F d d 2'
_symmetry_Int_Tables_number 43
_symmetry_space_group_name_Hall 'F 2 -2d'
_cell_length_a 14.657
_cell_length_b 27.463
_cell_length_c 5.375
_cell_angle_alpha 90.00
_cell_angle_beta 90.00
_cell_angle_gamma 90.00
loop_
_atom_site_label
_atom_site_type_symbol
_atom_site_fract_x
_atom_site_fract_y
_atom_site_fract_z
Ce1 Ce 0.000 0.000 0.000
Ce2 Ce 0.074 0.361 0.715
Se1 Se 0.001 0.058 0.490
Se2 Se 0.079 0.199 0.300
Se3 Se 0.111 0.089 0.972
```

=====

Simulated XRD peak list of HfCr2 for a wavelength of 1.5418 Å, from a structure optimized by DFT (PBE).
No peak broadening, texture or thermal motion is included.

Largest 12 diffraction maxima, sorted by position, 2θ from 15° to 90°:
hkl 1 0 1, 4.212 Å, rel. 22; hkl 1 0 5, 2.611 Å, rel. 27; hkl 1 1 0, 2.517 Å, rel. 77; hkl 1 0 6, 2.306 Å, rel. 77; hkl 2 0 1, 2.161 Å, rel. 21; hkl 1 1 4, 2.142 Å, rel. 100; hkl 2 0 2, 2.106 Å, rel. 35; hkl 2 1 6, 1.409 Å, rel. 31; hkl 3 0 4, 1.369 Å, rel. 23; hkl 2 0 10, 1.306 Å, rel. 20; hkl 2 2 0, 1.259 Å, rel. 21; hkl 3 1 6, 1.105 Å, rel. 15

Crystal structure
```
data_HfCr2
_chemical_formula_sum 'Hf8 Cr16'
_symmetry_space_group_name_H-M 'P 63/m m c'
_symmetry_Int_Tables_number 194
_symmetry_space_group_name_Hall '-P 6c 2c'
_cell_length_a 5.0349
_cell_length_b 5.0349
_cell_length_c 16.3045
_cell_angle_alpha 90.00
_cell_angle_beta 90.00
_cell_angle_gamma 120.00
loop_
_atom_site_label
_atom_site_type_symbol
_atom_site_fract_x
_atom_site_fract_y
_atom_site_fract_z
Hf1 Hf 0.0000 0.0000 0.0945
Hf2 Hf 0.3333 0.6667 0.1560
Cr1 Cr 0.0000 0.5000 0.0000
Cr2 Cr 0.1645 0.3290 0.7500
Cr3 Cr 0.3333 0.6667 0.6234
```

=====

Simulated XRD peak list of Te2Mo3WS6 for a wavelength of 1.5418 Å, from a structure optimized by DFT (PBE).
No peak broadening, texture or thermal motion is included.

Largest 12 diffraction maxima, sorted by position, 2θ from 15° to 90°:
hkl 0 0 7, 5.579 Å, rel. 14; hkl 1 0 0, 2.831 Å, rel. 73; hkl 1 0 5, 2.664 Å, rel. 20; hkl 0 1 7, 2.527 Å, rel. 24; hkl 1 0 8, 2.451 Å, rel. 100; hkl 1 0 9, 2.373 Å, rel. 26; hkl 0 1 13, 2.061 Å, rel. 63; hkl 1 0 14, 1.988 Å, rel. 21; hkl 1 1 0, 1.636 Å, rel. 38; hkl 1 1 5, 1.601 Å, rel. 15; hkl 0 2 8, 1.361 Å, rel. 15; hkl 1 1 21, 1.228 Å, rel. 15

Crystal structure
```
data_Te2Mo3WS6
_chemical_formula_sum 'Te2 Mo3 W1 S6'
_symmetry_space_group_name_H-M 'P 3 m 1'
_symmetry_Int_Tables_number 156
_symmetry_space_group_name_Hall 'P 3 -2"'
_cell_length_a 3.2723
_cell_length_b 3.2723
_cell_length_c 39.0506
_cell_angle_alpha 90.00
_cell_angle_beta 90.00
_cell_angle_gamma 120.00
loop_
_atom_site_label
_atom_site_type_symbol
_atom_site_fract_x
_atom_site_fract_y
_atom_site_fract_z
Te1 Te 0.0000 0.0000 0.0000
Te2 Te 0.0000 0.0000 0.0989
Mo1 Mo 0.0000 0.0000 0.8607
Mo2 Mo 0.3333 0.6667 0.0495
Mo3 Mo 0.3333 0.6667 0.4254
W1 W 0.0000 0.0000 0.2385
S1 S 0.0000 0.0000 0.3860
S2 S 0.0000 0.0000 0.4649
S3 S 0.3333 0.6667 0.1989
S4 S 0.3333 0.6667 0.2780
S5 S 0.3333 0.6667 0.8213
S6 S 0.3333 0.6667 0.9002
```

=====

Simulated XRD peak list of BaPrCu2O5 for a wavelength of 1.5418 Å, from a structure optimized by DFT (PBE).
No peak broadening, texture or thermal motion is included.

Largest 12 diffraction maxima, sorted by position, 2θ from 15° to 90°:
hkl 1 2 0, 2.784 Å, rel. 93; hkl 0 2 3, 2.775 Å, rel. 100; hkl 1 0 3, 2.765 Å, rel. 94; hkl 1 2 3, 2.265 Å, rel. 31; hkl 0 4 0, 1.975 Å, rel. 29; hkl 2 0 0, 1.962 Å, rel. 28; hkl 0 0 6, 1.949 Å, rel. 23; hkl 1 4 3, 1.607 Å, rel. 37; hkl 2 2 3, 1.602 Å, rel. 38; hkl 1 2 6, 1.597 Å, rel. 36; hkl 2 4 0, 1.392 Å, rel. 17; hkl 0 6 3, 1.248 Å, rel. 16

Crystal structure
```
data_BaPrCu2O5
_chemical_formula_sum 'Ba3 Pr3 Cu6 O15'
_symmetry_space_group_name_H-M 'P m m 2'
_symmetry_Int_Tables_number 25
_symmetry_space_group_name_Hall 'P 2 -2'
_cell_length_a 3.923
_cell_length_b 7.901
_cell_length_c 11.694
_cell_angle_alpha 90.00
_cell_angle_beta 90.00
_cell_angle_gamma 90.00
loop_
_atom_site_label
_atom_site_type_symbol
_atom_site_fract_x
_atom_site_fract_y
_atom_site_fract_z
Ba1 Ba 0.000 0.000 0.000
Ba2 Ba 0.000 0.000 0.363
Ba3 Ba 0.000 0.500 0.009
Pr1 Pr 0.000 0.000 0.680
Pr2 Pr 0.000 0.500 0.335
Pr3 Pr 0.000 0.500 0.677
Cu1 Cu 0.500 0.251 0.835
Cu2 Cu 0.500 0.253 0.526
Cu3 Cu 0.500 0.254 0.181
O1 O 0.000 0.245 0.192
O2 O 0.000 0.249 0.809
O3 O 0.000 0.253 0.545
O4 O 0.500 0.000 0.547
O5 O 0.500 0.000 0.811
O6 O 0.500 0.239 0.019
O7 O 0.500 0.265 0.345
O8 O 0.500 0.500 0.196
O9 O 0.500 0.500 0.541
O10 O 0.500 0.500 0.810
```

=====

Simulated XRD peak list of K2RbMoI6 for a wavelength of 1.5418 Å, from a structure optimized by DFT (PBE).
No peak broadening, texture or thermal motion is included.

Largest 12 diffraction maxima, sorted by position, 2θ from 15° to 90°:
hkl 2 2 2, 3.611 Å, rel. 77; hkl 4 0 0, 3.127 Å, rel. 100; hkl 4 2 0, 2.797 Å, rel. 31; hkl 3 3 3, 2.407 Å, rel. 23; hkl 4 4 0, 2.211 Å, rel. 67; hkl 6 0 0, 2.085 Å, rel. 17; hkl 6 2 2, 1.886 Å, rel. 26; hkl 4 4 4, 1.805 Å, rel. 21; hkl 5 5 1, 1.751 Å, rel. 14; hkl 8 4 0, 1.398 Å, rel. 22; hkl 8 4 4, 1.277 Å, rel. 14; hkl 7 7 3, 1.209 Å, rel. 18

Crystal structure
```
data_K2RbMoI6
_chemical_formula_sum 'K8 Rb4 Mo4 I24'
_symmetry_space_group_name_H-M 'F m -3 m'
_symmetry_Int_Tables_number 225
_symmetry_space_group_name_Hall '-F 4 2 3'
_cell_length_a 12.508
_cell_length_b 12.508
_cell_length_c 12.508
_cell_angle_alpha 90.00
_cell_angle_beta 90.00
_cell_angle_gamma 90.00
loop_
_atom_site_label
_atom_site_type_symbol
_atom_site_fract_x
_atom_site_fract_y
_atom_site_fract_z
K1 K 0.250 0.250 0.250
Rb1 Rb 0.000 0.000 0.000
Mo1 Mo 0.000 0.000 0.500
I1 I 0.000 0.000 0.275
```

=====

Simulated XRD peak list of Rb2NaSbF6 for a wavelength of 1.5418 Å, from a structure optimized by DFT (PBE).
No peak broadening, texture or thermal motion is included.

Largest 12 diffraction maxima, sorted by position, 2θ from 15° to 90°:
hkl 1 1 1, 5.233 Å, rel. 29; hkl 2 2 0, 3.204 Å, rel. 100; hkl 3 1 1, 2.733 Å, rel. 15; hkl 2 2 2, 2.616 Å, rel. 11; hkl 4 0 0, 2.266 Å, rel. 46; hkl 3 3 1, 2.079 Å, rel. 6; hkl 4 2 2, 1.850 Å, rel. 41; hkl 5 1 1, 1.744 Å, rel. 6; hkl 4 4 0, 1.602 Å, rel. 28; hkl 6 2 0, 1.433 Å, rel. 18; hkl 4 4 4, 1.308 Å, rel. 9; hkl 6 4 2, 1.211 Å, rel. 21

Crystal structure
```
data_Rb2NaSbF6
_chemical_formula_sum 'Rb8 Na4 Sb4 F24'
_symmetry_space_group_name_H-M 'F m -3 m'
_symmetry_Int_Tables_number 225
_symmetry_space_group_name_Hall '-F 4 2 3'
_cell_length_a 9.064
_cell_length_b 9.064
_cell_length_c 9.064
_cell_angle_alpha 90.00
_cell_angle_beta 90.00
_cell_angle_gamma 90.00
loop_
_atom_site_label
_atom_site_type_symbol
_atom_site_fract_x
_atom_site_fract_y
_atom_site_fract_z
Rb1 Rb 0.250 0.250 0.250
Na1 Na 0.000 0.000 0.000
Sb1 Sb 0.000 0.000 0.500
F1 F 0.000 0.000 0.256
```

=====

Simulated XRD peak list of AlCo3C for a wavelength of 1.5418 Å, from a structure optimized by DFT (PBE).
No peak broadening, texture or thermal motion is included.

Largest 10 diffraction maxima, sorted by position, 2θ from 15° to 90°:
hkl 1 0 0, 3.723 Å, rel. 18; hkl 1 1 0, 2.632 Å, rel. 4; hkl 1 1 1, 2.149 Å, rel. 100; hkl 2 0 0, 1.861 Å, rel. 56; hkl 2 1 0, 1.665 Å, rel. 6; hkl 2 1 1, 1.520 Å, rel. 1; hkl 2 2 0, 1.316 Å, rel. 32; hkl 3 0 0, 1.241 Å, rel. 2; hkl 3 1 0, 1.177 Å, rel. 1; hkl 3 1 1, 1.122 Å, rel. 33

Crystal structure
```
data_AlCo3C
_chemical_formula_sum 'Al1 Co3 C1'
_symmetry_space_group_name_H-M 'P m -3 m'
_symmetry_Int_Tables_number 221
_symmetry_space_group_name_Hall '-P 4 2 3'
_cell_length_a 3.723
_cell_length_b 3.723
_cell_length_c 3.723
_cell_angle_alpha 90.00
_cell_angle_beta 90.00
_cell_angle_gamma 90.00
loop_
_atom_site_label
_atom_site_type_symbol
_atom_site_fract_x
_atom_site_fract_y
_atom_site_fract_z
Al1 Al 0.000 0.000 0.000
Co1 Co 0.000 0.500 0.500
C1 C 0.500 0.500 0.500
```